Calculated XRD peak list of NdEr2P3 for Cu Kα (λ = 1.5418 Å), from the GGA-PBE geometry in OQMD.

a = 4.0346 Å, b = 4.0346 Å, c = 9.8756 Å
α = 90.00°, β = 90.00°, γ = 120.00°
Element x y z (fractional)
1 Nd 0.0000 0.0000 0.0000
2 Er 0.3333 0.6667 0.3385
3 Er 0.6667 0.3333 0.6615
4 P 0.0000 0.0000 0.5000
5 P 0.3333 0.6667 0.8227
6 P 0.6667 0.3333 0.1773

Peak list (8 most intense, 2θ from 15° to 90°, sorted by position)
| hkl | d [Å] | I (rel.) |
| --- | --- | --- |
| 0 1 1 | 3.293 | 86.5 |
| 1 0 2 | 2.852 | 100.0 |
| 1 1 0 | 2.017 | 72.7 |
| 2 0 1 | 1.720 | 42.7 |
| 0 2 2 | 1.647 | 25.4 |
| 1 2 1 | 1.309 | 17.3 |
| 2 1 2 | 1.276 | 32.3 |
| 3 0 0 | 1.164 | 24.5 |